No. 1
Starting from a crystal structure in Alexandria, relaxed with PBE, the powder diffractogram of Ni4Rh was simulated for Cu Kα (weighted mean of Kα1 and Kα2).

Top 10 peaks for 10° ≤ 2θ ≤ 90°, in order of rising 2θ:
22.04°, rel. 3, hkl 1 1 0
29.37°, rel. 4, hkl 1 0 1
31.37°, rel. 2, hkl 2 0 0
43.51°, rel. 100, hkl 1 2 1
50.62°, rel. 32, hkl 3 1 0
50.81°, rel. 15, hkl 0 0 2
64.35°, rel. 1, hkl 3 2 1
73.34°, rel. 1, hkl 1 4 1
74.39°, rel. 9, hkl 2 4 0
74.55°, rel. 19, hkl 3 1 2

Crystal structure
```
data_Ni4Rh
_cell_length_a 5.7029
_cell_length_b 5.7029
_cell_length_c 3.5941
_cell_angle_alpha 90.00
_cell_angle_beta 90.00
_cell_angle_gamma 90.00
_symmetry_space_group_name_H-M 'I 4/m'
_symmetry_Int_Tables_number 87
_symmetry_space_group_name_Hall '-I 4'
loop_
_atom_site_label
_atom_site_type_symbol
_atom_site_fract_x
_atom_site_fract_y
_atom_site_fract_z
_atom_site_occupancy
Ni1 Ni 0.0982 0.6961 0.0000 1
Rh1 Rh 0.0000 0.0000 0.5000 1
```



No. 2
Starting from a crystal structure in Alexandria, relaxed with PBE, the powder diffractogram of NiRh was simulated for Cu Kα (weighted mean of Kα1 and Kα2).

Top 10 peaks for 10° ≤ 2θ ≤ 90°, in order of rising 2θ:
27.08°, rel. 9, hkl 1 0 1
42.37°, rel. 100, hkl 1 1 2
43.72°, rel. 3, hkl 1 0 3
48.33°, rel. 17, hkl 0 0 4
49.81°, rel. 31, hkl 2 0 0
57.61°, rel. 2, hkl 2 1 1
71.94°, rel. 19, hkl 2 0 4
73.11°, rel. 9, hkl 2 2 0
86.08°, rel. 12, hkl 1 1 6
88.32°, rel. 23, hkl 3 1 2

Crystal structure
```
data_NiRh
_cell_length_a 3.6610
_cell_length_b 3.6610
_cell_length_c 7.5321
_cell_angle_alpha 90.00
_cell_angle_beta 90.00
_cell_angle_gamma 90.00
_symmetry_space_group_name_H-M 'I 41/a m d'
_symmetry_Int_Tables_number 141
loop_
_symmetry_equiv_pos_as_xyz
'x,y,z'
'-x,-y,-z'
'-y+1/4,x+3/4,z+1/4'
'y+1/4,-x+3/4,-z+1/4'
'-x+1/2,-y,z+1/2'
'x+1/2,y,-z+1/2'
'y+1/4,-x+1/4,z+3/4'
'-y+1/4,x+1/4,-z+3/4'
'x,-y,-z'
'-x,y,z'
'-y+1/4,-x+1/4,-z+3/4'
'y+1/4,x+1/4,z+3/4'
'-x+1/2,y,-z+1/2'
'x+1/2,-y,z+1/2'
'y+1/4,x+3/4,-z+1/4'
'-y+1/4,-x+3/4,z+1/4'
'x+1/2,y+1/2,z+1/2'
'-x+1/2,-y+1/2,-z+1/2'
'-y+3/4,x+1/4,z+3/4'
'y+3/4,-x+1/4,-z+3/4'
'-x,-y+1/2,z'
'x,y+1/2,-z'
'y+3/4,-x+3/4,z+1/4'
'-y+3/4,x+3/4,-z+1/4'
'x+1/2,-y+1/2,-z+1/2'
'-x+1/2,y+1/2,z+1/2'
'-y+3/4,-x+3/4,-z+1/4'
'y+3/4,x+3/4,z+1/4'
'-x,y+1/2,-z'
'x,-y+1/2,z'
'y+3/4,x+1/4,-z+3/4'
'-y+3/4,-x+1/4,z+3/4'
loop_
_atom_site_label
_atom_site_type_symbol
_atom_site_fract_x
_atom_site_fract_y
_atom_site_fract_z
_atom_site_occupancy
Ni1 Ni 0.0000 0.2500 0.3750 1
Rh1 Rh 0.0000 0.2500 0.8750 1
```



No. 3
Starting from a crystal structure in Alexandria, relaxed with PBE, the powder diffractogram of Ni2Rh3 was simulated for Cu Kα (weighted mean of Kα1 and Kα2).

Top 10 peaks for 10° ≤ 2θ ≤ 90°, in order of rising 2θ:
13.52°, rel. 10, hkl 0 0 2
41.52°, rel. 100, hkl 1 1 0
42.18°, rel. 94, hkl 0 1 5
48.62°, rel. 61, hkl 1 0 5
48.91°, rel. 31, hkl 0 2 0
70.26°, rel. 10, hkl 2 0 0
71.44°, rel. 37, hkl 1 2 5
85.49°, rel. 23, hkl 2 1 5
86.38°, rel. 11, hkl 1 3 0
86.82°, rel. 32, hkl 0 3 5

Crystal structure
```
data_Ni2Rh3
_cell_length_a 2.6794
_cell_length_b 3.7242
_cell_length_c 13.0940
_cell_angle_alpha 90.00
_cell_angle_beta 90.00
_cell_angle_gamma 90.00
_symmetry_space_group_name_H-M 'I m m m'
_symmetry_Int_Tables_number 71
_symmetry_space_group_name_Hall '-I 2 2'
loop_
_atom_site_label
_atom_site_type_symbol
_atom_site_fract_x
_atom_site_fract_y
_atom_site_fract_z
_atom_site_occupancy
Ni1 Ni 0.0000 0.0000 0.2027 1
Rh1 Rh 0.0000 0.0000 0.0000 1
Rh2 Rh 0.0000 0.0000 0.3945 1
```



No. 4
Starting from a crystal structure in Alexandria, relaxed with PBE, the powder diffractogram of NiRh was simulated for Cu Kα (weighted mean of Kα1 and Kα2).

Top 10 peaks for 10° ≤ 2θ ≤ 90°, in order of rising 2θ:
10.15°, rel. 16, hkl 0 0 1
40.11°, rel. 35, hkl 0 2 0
41.44°, rel. 31, hkl 0 0 4
44.67°, rel. 100, hkl 1 1 2
59.04°, rel. 20, hkl 0 2 4
70.72°, rel. 6, hkl 2 0 0
76.07°, rel. 19, hkl 1 3 2
77.84°, rel. 16, hkl 1 1 6
84.55°, rel. 7, hkl 2 2 0
85.42°, rel. 7, hkl 2 0 4

Crystal structure
```
data_NiRh
_cell_length_a 2.6642
_cell_length_b 4.4956
_cell_length_c 8.7171
_cell_angle_alpha 90.00
_cell_angle_beta 90.00
_cell_angle_gamma 90.00
_symmetry_space_group_name_H-M 'C m m e'
_symmetry_Int_Tables_number 67
_symmetry_space_group_name_Hall '-C 2a 2'
loop_
_atom_site_label
_atom_site_type_symbol
_atom_site_fract_x
_atom_site_fract_y
_atom_site_fract_z
_atom_site_occupancy
Ni1 Ni 0.0000 0.2500 0.1161 1
Rh1 Rh 0.0000 0.2500 0.6340 1
```



No. 5
Starting from a crystal structure in Alexandria, relaxed with PBE, the powder diffractogram of Ni3Rh13 was simulated for Cu Kα (weighted mean of Kα1 and Kα2).

Top 10 peaks for 10° ≤ 2θ ≤ 90°, in order of rising 2θ:
16.49°, rel. 1, hkl 0 1 1
28.79°, rel. 1, hkl 2 1 1
41.15°, rel. 100, hkl 2 2 2
47.70°, rel. 16, hkl 0 0 4
47.97°, rel. 32, hkl 4 0 0
69.97°, rel. 20, hkl 4 0 4
70.18°, rel. 10, hkl 4 4 0
84.31°, rel. 12, hkl 2 2 6
84.71°, rel. 24, hkl 6 2 2
89.30°, rel. 11, hkl 4 4 4

Crystal structure
```
data_Ni3Rh13
_cell_length_a 7.5904
_cell_length_b 7.5821
_cell_length_c 7.6268
_cell_angle_alpha 90.00
_cell_angle_beta 90.00
_cell_angle_gamma 90.00
_symmetry_space_group_name_H-M 'A m m 2'
_symmetry_Int_Tables_number 38
_symmetry_space_group_name_Hall 'A 2 -2'
loop_
_atom_site_label
_atom_site_type_symbol
_atom_site_fract_x
_atom_site_fract_y
_atom_site_fract_z
_atom_site_occupancy
Ni1 Ni 0.0000 0.0000 0.0000 1
Ni2 Ni 0.2488 0.0000 0.2482 1
Rh1 Rh 0.0000 0.0000 0.4970 1
Rh2 Rh 0.0000 0.2465 0.2485 1
Rh3 Rh 0.2481 0.2481 0.9989 1
Rh4 Rh 0.2490 0.0000 0.7493 1
Rh5 Rh 0.5000 0.0000 0.0005 1
Rh6 Rh 0.5000 0.0000 0.4973 1
Rh7 Rh 0.5000 0.2466 0.2488 1
```



No. 6
Starting from a crystal structure in Alexandria, relaxed with PBE, the powder diffractogram of Ni5Rh was simulated for Cu Kα (weighted mean of Kα1 and Kα2).

Top 10 peaks for 10° ≤ 2θ ≤ 90°, in order of rising 2θ:
11.62°, rel. 6, hkl 0 0 1
27.66°, rel. 4, hkl 0 1 1
34.49°, rel. 4, hkl 0 1 2
43.53°, rel. 100, hkl 1 1 0
43.81°, rel. 97, hkl 0 1 3
50.63°, rel. 62, hkl 1 0 3
51.33°, rel. 30, hkl 0 2 0
74.01°, rel. 9, hkl 2 0 0
74.82°, rel. 9, hkl 0 0 6
74.98°, rel. 35, hkl 1 2 3

Crystal structure
```
data_Ni5Rh
_cell_length_a 2.5616
_cell_length_b 3.5598
_cell_length_c 7.6137
_cell_angle_alpha 90.00
_cell_angle_beta 90.00
_cell_angle_gamma 90.00
_symmetry_space_group_name_H-M 'P m m m'
_symmetry_Int_Tables_number 47
_symmetry_space_group_name_Hall '-P 2 2'
loop_
_atom_site_label
_atom_site_type_symbol
_atom_site_fract_x
_atom_site_fract_y
_atom_site_fract_z
_atom_site_occupancy
Ni1 Ni 0.0000 0.0000 0.0000 1
Ni2 Ni 0.0000 0.0000 0.3232 1
Ni3 Ni 0.5000 0.5000 0.1609 1
Rh1 Rh 0.5000 0.5000 0.5000 1
```



No. 7
Starting from a crystal structure in Alexandria, relaxed with PBE, the powder diffractogram of NiRh was simulated for Cu Kα (weighted mean of Kα1 and Kα2).

Top 10 peaks for 10° ≤ 2θ ≤ 90°, in order of rising 2θ:
41.87°, rel. 100, hkl 3 1 -1
42.13°, rel. 49, hkl 0 0 2
42.64°, rel. 46, hkl 6 0 0
48.90°, rel. 61, hkl 3 1 1
49.31°, rel. 30, hkl 6 0 -2
71.62°, rel. 19, hkl 3 1 -3
72.36°, rel. 27, hkl 6 0 2
86.07°, rel. 12, hkl 0 2 2
86.41°, rel. 11, hkl 6 2 0
86.94°, rel. 11, hkl 3 1 3

Crystal structure
```
data_NiRh
_cell_length_a 13.4987
_cell_length_b 2.6577
_cell_length_c 4.5514
_cell_angle_alpha 90.00
_cell_angle_beta 109.52
_cell_angle_gamma 90.00
_symmetry_space_group_name_H-M 'C 1 m 1'
_symmetry_Int_Tables_number 8
_symmetry_space_group_name_Hall 'C -2y'
loop_
_atom_site_label
_atom_site_type_symbol
_atom_site_fract_x
_atom_site_fract_y
_atom_site_fract_z
_atom_site_occupancy
Ni1 Ni 0.0000 0.0000 0.0000 1
Ni2 Ni 0.0005 0.5000 0.4932 1
Ni3 Ni 0.1613 0.0000 0.4915 1
Rh1 Rh 0.1609 0.5000 0.9918 1
Rh2 Rh 0.3339 0.0000 0.9950 1
Rh3 Rh 0.3344 0.5000 0.4988 1
```



No. 8
Starting from a crystal structure in Alexandria, relaxed with PBE, the powder diffractogram of Ni17Rh2 was simulated for Cu Kα (weighted mean of Kα1 and Kα2).

Top 10 peaks for 10° ≤ 2θ ≤ 90°, in order of rising 2θ:
31.47°, rel. 10, hkl 1 1 3
38.89°, rel. 24, hkl 3 0 0
39.50°, rel. 15, hkl 0 2 4
44.98°, rel. 20, hkl 0 0 6
45.18°, rel. 100, hkl 2 2 0
45.72°, rel. 23, hkl 2 0 5
50.86°, rel. 28, hkl 2 2 3
74.82°, rel. 10, hkl 3 3 3
83.11°, rel. 11, hkl 0 3 9
83.50°, rel. 13, hkl 6 0 0

Crystal structure
```
data_Ni17Rh2
_cell_length_a 8.0213
_cell_length_b 8.0213
_cell_length_c 12.0932
_cell_angle_alpha 90.00
_cell_angle_beta 90.00
_cell_angle_gamma 120.00
_symmetry_space_group_name_H-M 'R -3 m'
_symmetry_Int_Tables_number 166
_symmetry_space_group_name_Hall '-R 3 2"'
loop_
_atom_site_label
_atom_site_type_symbol
_atom_site_fract_x
_atom_site_fract_y
_atom_site_fract_z
_atom_site_occupancy
Ni1 Ni 0.0000 0.0000 0.0982 1
Ni2 Ni 0.0000 0.3036 0.0000 1
Ni3 Ni 0.0000 0.5000 0.5000 1
Ni4 Ni 0.0060 0.5030 0.1491 1
Rh1 Rh 0.0000 0.0000 0.3210 1
```